Record 1
This entry pairs a crystal structure of Mn2Ga2S5 with its computed powder X-ray diffraction pattern. Radiation: CuKα. Structure: DFT lattice parameters and positions (GGA-PBE).
Kinematic intensities with the Lorentz-polarization factor, no thermal factor.

```
data_Mn2Ga2S5
_chemical_formula_sum 'Mn2 Ga2 S5'
_space_group_name_H-M_alt 'P -3 m 1'
_space_group_IT_number 164
_space_group_name_Hall '-P 3 2"'
_cell_length_a 3.7280
_cell_length_b 3.7280
_cell_length_c 15.3335
_cell_angle_alpha 90.00
_cell_angle_beta 90.00
_cell_angle_gamma 120.00
loop_
_atom_site_label
_atom_site_type_symbol
_atom_site_fract_x
_atom_site_fract_y
_atom_site_fract_z
Mn1 Mn 0.3333 0.6667 0.4019
Ga1 Ga 0.3333 0.6667 0.8286
S1 S 0.0000 0.0000 0.5000
S2 S 0.3333 0.6667 0.1059
S3 S 0.3333 0.6667 0.6831
```

Principal peaks in the range 2θ = 10–90°, low angle first:
2θ (°)  I (rel.)
17.4  32
23.2  43
27.6  68
28.2  31
30.0  59
32.8  98
36.4  48
40.6  37
48.9  87
50.3  100



Record 2
This entry pairs a crystal structure of ScMnGaS4 with its computed powder X-ray diffraction pattern. Radiation: CuKα. Structure: DFT lattice parameters and positions (GGA-PBE).
Kinematic intensities with the Lorentz-polarization factor, no thermal factor.

```
data_ScMnGaS4
_chemical_formula_sum 'Sc4 Mn4 Ga4 S16'
_space_group_name_H-M_alt 'P n m a'
_space_group_IT_number 62
_cell_length_a 12.865
_cell_length_b 7.420
_cell_length_c 6.116
_cell_angle_alpha 90.00
_cell_angle_beta 90.00
_cell_angle_gamma 90.00
loop_
_space_group_symop_operation_xyz
'x,y,z'
'-x,-y,-z'
'-x+1/2,-y,z+1/2'
'x+1/2,y,-z+1/2'
'x+1/2,-y+1/2,-z+1/2'
'-x+1/2,y+1/2,z+1/2'
'-x,y+1/2,-z'
'x,-y+1/2,z'
loop_
_atom_site_label
_atom_site_type_symbol
_atom_site_fract_x
_atom_site_fract_y
_atom_site_fract_z
Sc1 Sc 0.233 0.250 0.003
Mn1 Mn 0.000 0.000 0.500
Ga1 Ga 0.088 0.750 0.081
S1 S 0.072 0.250 0.752
S2 S 0.090 0.750 0.713
S3 S 0.168 0.510 0.256
```

Principal peaks in the range 2θ = 10–90°, low angle first:
2θ (°)  I (rel.)
13.8  21
18.3  45
25.4  27
28.1  76
29.0  88
31.4  60
32.4  26
40.7  84
49.1  100
53.2  51



Record 3
This entry pairs a crystal structure of Sm3MnGaS7 with its computed powder X-ray diffraction pattern. Radiation: CuKα. Structure: DFT lattice parameters and positions (GGA-PBE).
Kinematic intensities with the Lorentz-polarization factor, no thermal factor.

```
data_Sm3MnGaS7
_chemical_formula_sum 'Sm6 Mn2 Ga2 S14'
_space_group_name_H-M_alt 'P 63'
_space_group_IT_number 173
_cell_length_a 9.9746
_cell_length_b 9.9746
_cell_length_c 6.0664
_cell_angle_alpha 90.00
_cell_angle_beta 90.00
_cell_angle_gamma 120.00
loop_
_space_group_symop_operation_xyz
'x,y,z'
'x-y,x,z+1/2'
'-y,x-y,z'
'-x,-y,z+1/2'
'-x+y,-x,z'
'y,-x+y,z+1/2'
loop_
_atom_site_label
_atom_site_type_symbol
_atom_site_fract_x
_atom_site_fract_y
_atom_site_fract_z
Sm1 Sm 0.1410 0.3752 0.0000
Mn1 Mn 0.0000 0.0000 0.2774
Ga1 Ga 0.3333 0.6667 0.4234
S1 S 0.0937 0.2414 0.5511
S2 S 0.0948 0.5797 0.2643
S3 S 0.3333 0.6667 0.7946
```

Principal peaks in the range 2θ = 10–90°, low angle first:
2θ (°)  I (rel.)
23.1  28
25.3  100
27.3  31
34.5  31
36.0  35
36.2  41
40.5  30
40.6  29
48.3  25
50.7  24



Record 4
This entry pairs a crystal structure of Sc3Mn2Ga6 with its computed powder X-ray diffraction pattern. Radiation: CuKα. Structure: DFT lattice parameters and positions (GGA-PBE).
Kinematic intensities with the Lorentz-polarization factor, no thermal factor.

```
data_Sc3Mn2Ga6
_chemical_formula_sum 'Sc12 Mn8 Ga24'
_space_group_name_H-M_alt 'P n m a'
_space_group_IT_number 62
_cell_length_a 8.093
_cell_length_b 8.552
_cell_length_c 10.607
_cell_angle_alpha 90.00
_cell_angle_beta 90.00
_cell_angle_gamma 90.00
loop_
_space_group_symop_operation_xyz
'x,y,z'
'-x,-y,-z'
'-x+1/2,-y,z+1/2'
'x+1/2,y,-z+1/2'
'x+1/2,-y+1/2,-z+1/2'
'-x+1/2,y+1/2,z+1/2'
'-x,y+1/2,-z'
'x,-y+1/2,z'
loop_
_atom_site_label
_atom_site_type_symbol
_atom_site_fract_x
_atom_site_fract_y
_atom_site_fract_z
Sc1 Sc 0.042 0.250 0.063
Sc2 Sc 0.063 0.555 0.639
Mn1 Mn 0.138 0.250 0.766
Mn2 Mn 0.190 0.250 0.517
Ga1 Ga 0.095 0.750 0.414
Ga2 Ga 0.118 0.583 0.155
Ga3 Ga 0.205 0.005 0.913
Ga4 Ga 0.222 0.250 0.281
```

Principal peaks in the range 2θ = 10–90°, low angle first:
2θ (°)  I (rel.)
37.5  100
38.6  52
39.9  51
40.0  65
40.4  69
41.6  60
42.1  69
42.3  52
43.2  56
47.2  59



Record 5
This entry pairs a crystal structure of Y3Mn3Ga2Si with its computed powder X-ray diffraction pattern. Radiation: CuKα. Structure: DFT lattice parameters and positions (GGA-PBE).
Kinematic intensities with the Lorentz-polarization factor, no thermal factor.

```
data_Y3Mn3Ga2Si
_chemical_formula_sum 'Y3 Mn3 Ga2 Si1'
_space_group_name_H-M_alt 'P -6'
_space_group_IT_number 174
_cell_length_a 7.0024
_cell_length_b 7.0024
_cell_length_c 4.1529
_cell_angle_alpha 90.00
_cell_angle_beta 90.00
_cell_angle_gamma 120.00
loop_
_space_group_symop_operation_xyz
'x,y,z'
'-x+y,-x,-z'
'-y,x-y,z'
'x,y,-z'
'-x+y,-x,z'
'-y,x-y,-z'
loop_
_atom_site_label
_atom_site_type_symbol
_atom_site_fract_x
_atom_site_fract_y
_atom_site_fract_z
Y1 Y 0.0038 0.5804 0.0000
Mn1 Mn 0.0136 0.2407 0.5000
Ga1 Ga 0.0000 0.0000 0.0000
Ga2 Ga 0.6667 0.3333 0.5000
Si1 Si 0.3333 0.6667 0.5000
```

Principal peaks in the range 2θ = 10–90°, low angle first:
2θ (°)  I (rel.)
29.5  19
33.5  71
36.7  100
39.3  39
43.6  27
44.8  15
45.2  19
59.3  21
60.1  21
71.5  18



Record 6
This entry pairs a crystal structure of Sm2MnGa6 with its computed powder X-ray diffraction pattern. Radiation: CuKα. Structure: DFT lattice parameters and positions (GGA-PBE).
Kinematic intensities with the Lorentz-polarization factor, no thermal factor.

```
data_Sm2MnGa6
_chemical_formula_sum 'Sm8 Mn4 Ga24'
_space_group_name_H-M_alt 'F m -3 m'
_space_group_IT_number 225
_space_group_name_Hall '-F 4 2 3'
_cell_length_a 8.847
_cell_length_b 8.847
_cell_length_c 8.847
_cell_angle_alpha 90.00
_cell_angle_beta 90.00
_cell_angle_gamma 90.00
loop_
_atom_site_label
_atom_site_type_symbol
_atom_site_fract_x
_atom_site_fract_y
_atom_site_fract_z
Sm1 Sm 0.250 0.250 0.250
Mn1 Mn 0.000 0.000 0.000
Ga1 Ga 0.000 0.000 0.282
```

Principal peaks in the range 2θ = 10–90°, low angle first:
2θ (°)  I (rel.)
28.5  33
35.1  100
40.8  66
44.6  13
53.8  9
59.1  39
66.9  10
70.6  30
74.3  11
81.4  9



Record 7
This entry pairs a crystal structure of TmMn6Ga2Sn4 with its computed powder X-ray diffraction pattern. Radiation: CuKα. Structure: DFT lattice parameters and positions (GGA-PBE).
Kinematic intensities with the Lorentz-polarization factor, no thermal factor.

```
data_TmMn6Ga2Sn4
_chemical_formula_sum 'Tm1 Mn6 Ga2 Sn4'
_space_group_name_H-M_alt 'P 6/m m m'
_space_group_IT_number 191
_space_group_name_Hall '-P 6 2'
_cell_length_a 5.3596
_cell_length_b 5.3596
_cell_length_c 8.7795
_cell_angle_alpha 90.00
_cell_angle_beta 90.00
_cell_angle_gamma 120.00
loop_
_atom_site_label
_atom_site_type_symbol
_atom_site_fract_x
_atom_site_fract_y
_atom_site_fract_z
Tm1 Tm 0.0000 0.0000 0.0000
Mn1 Mn 0.0000 0.5000 0.2355
Ga1 Ga 0.3333 0.6667 0.0000
Sn1 Sn 0.0000 0.0000 0.3315
Sn2 Sn 0.3333 0.6667 0.5000
```

Principal peaks in the range 2θ = 10–90°, low angle first:
2θ (°)  I (rel.)
33.4  100
36.3  81
38.8  43
39.4  79
41.1  23
44.1  45
45.9  21
61.6  36
70.2  31
73.8  35



Record 8
This entry pairs a crystal structure of ZrMn6GaSn5 with its computed powder X-ray diffraction pattern. Radiation: CuKα. Structure: DFT lattice parameters and positions (GGA-PBE).
Kinematic intensities with the Lorentz-polarization factor, no thermal factor.

```
data_ZrMn6GaSn5
_chemical_formula_sum 'Zr1 Mn6 Ga1 Sn5'
_space_group_name_H-M_alt 'P -6 m 2'
_space_group_IT_number 187
_space_group_name_Hall 'P -6 2'
_cell_length_a 5.3520
_cell_length_b 5.3520
_cell_length_c 8.9059
_cell_angle_alpha 90.00
_cell_angle_beta 90.00
_cell_angle_gamma 120.00
loop_
_atom_site_label
_atom_site_type_symbol
_atom_site_fract_x
_atom_site_fract_y
_atom_site_fract_z
Zr1 Zr 0.0000 0.0000 0.0000
Mn1 Mn 0.5031 0.0062 0.2423
Ga1 Ga 0.6667 0.3333 0.0000
Sn1 Sn 0.0000 0.0000 0.3273
Sn2 Sn 0.3333 0.6667 0.0000
Sn3 Sn 0.3333 0.6667 0.5000
Sn4 Sn 0.6667 0.3333 0.5000
```

Principal peaks in the range 2θ = 10–90°, low angle first:
2θ (°)  I (rel.)
33.5  100
35.9  54
38.9  31
39.3  75
40.5  27
44.0  76
45.2  21
61.5  23
70.4  32
72.9  37



Record 9
This entry pairs a crystal structure of TbMnGa with its computed powder X-ray diffraction pattern. Radiation: CuKα. Structure: DFT lattice parameters and positions (GGA-PBE).
Kinematic intensities with the Lorentz-polarization factor, no thermal factor.

```
data_TbMnGa
_chemical_formula_sum 'Tb3 Mn3 Ga3'
_space_group_name_H-M_alt 'P -6 2 m'
_space_group_IT_number 189
_space_group_name_Hall 'P -6 -2'
_cell_length_a 7.2724
_cell_length_b 7.2724
_cell_length_c 3.8942
_cell_angle_alpha 90.00
_cell_angle_beta 90.00
_cell_angle_gamma 120.00
loop_
_atom_site_label
_atom_site_type_symbol
_atom_site_fract_x
_atom_site_fract_y
_atom_site_fract_z
Tb1 Tb 0.0000 0.5860 0.0000
Mn1 Mn 0.0000 0.0000 0.0000
Mn2 Mn 0.3333 0.6667 0.5000
Ga1 Ga 0.0000 0.2565 0.5000
```

Principal peaks in the range 2θ = 10–90°, low angle first:
2θ (°)  I (rel.)
28.3  18
33.7  100
36.7  81
37.8  44
43.1  20
46.6  21
52.4  20
57.9  29
61.5  21
69.4  21



Record 10
This entry pairs a crystal structure of Ti2MnGa with its computed powder X-ray diffraction pattern. Radiation: CuKα. Structure: DFT lattice parameters and positions (GGA-PBE).
Kinematic intensities with the Lorentz-polarization factor, no thermal factor.

```
data_Ti2MnGa
_chemical_formula_sum 'Ti8 Mn4 Ga4'
_space_group_name_H-M_alt 'F -4 3 m'
_space_group_IT_number 216
_space_group_name_Hall 'F -4 2 3'
_cell_length_a 6.225
_cell_length_b 6.225
_cell_length_c 6.225
_cell_angle_alpha 90.00
_cell_angle_beta 90.00
_cell_angle_gamma 90.00
loop_
_atom_site_label
_atom_site_type_symbol
_atom_site_fract_x
_atom_site_fract_y
_atom_site_fract_z
Ti1 Ti 0.000 0.000 0.000
Ti2 Ti 0.250 0.250 0.250
Mn1 Mn 0.250 0.250 0.750
Ga1 Ga 0.000 0.000 0.500
```

Principal peaks in the range 2θ = 10–90°, low angle first:
2θ (°)  I (rel.)
24.8  4
28.7  1
41.0  100
48.5  2
59.4  15
65.3  1
74.7  30
80.1  1
89.0  9



Record 11
This entry pairs a crystal structure of Mn8Zn14Ga27 with its computed powder X-ray diffraction pattern. Radiation: CuKα. Structure: DFT lattice parameters and positions (GGA-PBE).
Kinematic intensities with the Lorentz-polarization factor, no thermal factor.

```
data_Mn8Zn14Ga27
_chemical_formula_sum 'Mn24 Zn42 Ga81'
_space_group_name_H-M_alt 'R -3'
_space_group_IT_number 148
_space_group_name_Hall '-R 3'
_cell_length_a 13.5765
_cell_length_b 13.5765
_cell_length_c 14.5895
_cell_angle_alpha 90.00
_cell_angle_beta 90.00
_cell_angle_gamma 120.00
loop_
_atom_site_label
_atom_site_type_symbol
_atom_site_fract_x
_atom_site_fract_y
_atom_site_fract_z
Mn1 Mn 0.0000 0.0000 0.1855
Mn2 Mn 0.0144 0.6524 0.2662
Zn1 Zn 0.0000 0.0000 0.0000
Zn2 Zn 0.0000 0.0000 0.5000
Zn3 Zn 0.0045 0.8859 0.6552
Zn4 Zn 0.0976 0.5426 0.1678
Ga1 Ga 0.9999 0.1777 0.7785
Ga2 Ga 0.0000 0.5000 0.0000
Ga3 Ga 0.0050 0.6828 0.7689
Ga4 Ga 0.0082 0.1646 0.1120
Ga5 Ga 0.0084 0.5214 0.6637
```

Principal peaks in the range 2θ = 10–90°, low angle first:
2θ (°)  I (rel.)
32.2  93
35.5  24
37.0  24
39.7  33
41.5  26
41.6  34
44.1  39
45.9  100
46.3  79
85.6  30